No. 1
Computed X-ray powder pattern
Compound: K2RbBrCl
Radiation: Cu Ka
Structure: a crystal structure in Alexandria, relaxed with PBE
Intensities are scaled so that the largest is 100.

Peak list (10 most intense, 10 to 90 degrees two-theta, in order of rising 2θ)
20.7°, I 25; 24.8°, I 100; 27.2°, I 36; 29.4°, I 58; 40.5°, I 46; 42.1°, I 20; 46.6°, I 17; 49.5°, I 29; 50.8°, I 23; 64.6°, I 23

Cell and atoms:
```
data_K2RbBrCl
_cell_length_a 6.071
_cell_length_b 6.071
_cell_length_c 6.566
_cell_angle_alpha 90.00
_cell_angle_beta 90.00
_cell_angle_gamma 90.00
_space_group_name_H-M_alt 'P 4/m m m'
_space_group_IT_number 123
_space_group_name_Hall '-P 4 2'
loop_
_atom_site_label
_atom_site_type_symbol
_atom_site_fract_x
_atom_site_fract_y
_atom_site_fract_z
K1 K 0.000 0.500 0.000
Rb1 Rb 0.000 0.000 0.500
Br1 Br 0.500 0.500 0.500
Cl1 Cl 0.000 0.000 0.000
```

No. 2
Computed X-ray powder pattern
Compound: K2TcBrCl5
Radiation: Cu Ka
Structure: a crystal structure in Alexandria, relaxed with PBE
Intensities are scaled so that the largest is 100.

Peak list (10 most intense, 10 to 90 degrees two-theta, in order of rising 2θ)
15.1°, I 100; 17.5°, I 44; 24.8°, I 31; 29.2°, I 25; 30.5°, I 64; 35.2°, I 35; 35.4°, I 69; 50.8°, I 44; 51.0°, I 22; 63.5°, I 21

Cell and atoms:
```
data_K2TcBrCl5
_cell_length_a 7.167
_cell_length_b 7.167
_cell_length_c 10.188
_cell_angle_alpha 90.00
_cell_angle_beta 90.00
_cell_angle_gamma 90.00
_space_group_name_H-M_alt 'I 4 m m'
_space_group_IT_number 107
_space_group_name_Hall 'I 4 -2'
loop_
_atom_site_label
_atom_site_type_symbol
_atom_site_fract_x
_atom_site_fract_y
_atom_site_fract_z
K1 K 0.000 0.500 0.000
Tc1 Tc 0.000 0.000 0.251
Br1 Br 0.000 0.000 0.002
Cl1 Cl 0.000 0.000 0.484
Cl2 Cl 0.234 0.234 0.249
```

No. 3
Computed X-ray powder pattern
Compound: KTiBrCl4
Radiation: Cu Ka
Structure: a crystal structure in Alexandria, relaxed with PBE
Intensities are scaled so that the largest is 100.

Peak list (10 most intense, 10 to 90 degrees two-theta, in order of rising 2θ)
16.4°, I 64; 17.4°, I 100; 18.9°, I 28; 28.5°, I 28; 29.1°, I 44; 30.1°, I 26; 32.7°, I 19; 35.1°, I 27; 41.4°, I 19; 53.8°, I 20

Cell and atoms:
```
data_KTiBrCl4
_cell_length_a 10.978
_cell_length_b 10.221
_cell_length_c 9.676
_cell_angle_alpha 90.00
_cell_angle_beta 103.51
_cell_angle_gamma 90.00
_space_group_name_H-M_alt 'C 1 2/m 1'
_space_group_IT_number 12
_space_group_name_Hall '-C 2y'
loop_
_atom_site_label
_atom_site_type_symbol
_atom_site_fract_x
_atom_site_fract_y
_atom_site_fract_z
K1 K 0.228 0.000 0.194
Ti1 Ti 0.207 0.500 0.251
Br1 Br 0.093 0.000 0.840
Cl1 Cl 0.022 0.500 0.324
Cl2 Cl 0.154 0.309 0.135
Cl3 Cl 0.178 0.000 0.524
```

No. 4
Computed X-ray powder pattern
Compound: KTlBr2Cl
Radiation: Cu Ka
Structure: a crystal structure in Alexandria, relaxed with PBE
Intensities are scaled so that the largest is 100.

Peak list (10 most intense, 10 to 90 degrees two-theta, in order of rising 2θ)
15.5°, I 69; 16.0°, I 100; 22.4°, I 66; 26.0°, I 45; 31.4°, I 56; 32.3°, I 44; 35.2°, I 52; 38.9°, I 85; 45.6°, I 39; 48.5°, I 42

Cell and atoms:
```
data_KTlBr2Cl
_cell_length_a 8.068
_cell_length_b 8.068
_cell_length_c 11.082
_cell_angle_alpha 90.00
_cell_angle_beta 90.00
_cell_angle_gamma 90.00
_space_group_name_H-M_alt 'I 4/m c m'
_space_group_IT_number 140
_space_group_name_Hall '-I 4 2c'
loop_
_atom_site_label
_atom_site_type_symbol
_atom_site_fract_x
_atom_site_fract_y
_atom_site_fract_z
K1 K 0.000 0.500 0.250
Tl1 Tl 0.000 0.000 0.000
Br1 Br 0.177 0.323 0.000
Cl1 Cl 0.000 0.000 0.250
```

No. 5
Computed X-ray powder pattern
Compound: K2UBr2Cl4
Radiation: Cu Ka
Structure: a crystal structure in Alexandria, relaxed with PBE
Intensities are scaled so that the largest is 100.

Peak list (10 most intense, 10 to 90 degrees two-theta, in order of rising 2θ)
13.3°, I 54; 14.1°, I 100; 14.3°, I 64; 16.5°, I 80; 24.9°, I 32; 27.7°, I 58; 27.9°, I 45; 33.4°, I 45; 33.7°, I 31; 48.6°, I 33

Cell and atoms:
```
data_K2UBr2Cl4
_cell_length_a 13.430
_cell_length_b 7.464
_cell_length_c 7.739
_cell_angle_alpha 90.00
_cell_angle_beta 120.43
_cell_angle_gamma 90.00
_space_group_name_H-M_alt 'C 1 2/m 1'
_space_group_IT_number 12
_space_group_name_Hall '-C 2y'
loop_
_atom_site_label
_atom_site_type_symbol
_atom_site_fract_x
_atom_site_fract_y
_atom_site_fract_z
K1 K 0.246 0.000 0.213
U1 U 0.000 0.500 0.000
Br1 Br 0.225 0.500 0.335
Cl1 Cl 0.067 0.254 0.839
```

No. 6
Computed X-ray powder pattern
Compound: LaBrCl
Radiation: Cu Ka
Structure: a crystal structure in Alexandria, relaxed with PBE
Intensities are scaled so that the largest is 100.

Peak list (10 most intense, 10 to 90 degrees two-theta, in order of rising 2θ)
12.1°, I 100; 25.0°, I 19; 29.5°, I 18; 29.7°, I 33; 30.3°, I 28; 32.6°, I 19; 32.7°, I 20; 38.3°, I 17; 40.9°, I 15; 41.0°, I 22

Cell and atoms:
```
data_LaBrCl
_cell_length_a 3.731
_cell_length_b 7.773
_cell_length_c 7.846
_cell_angle_alpha 71.55
_cell_angle_beta 76.26
_cell_angle_gamma 76.50
_space_group_name_H-M_alt 'P -1'
_space_group_IT_number 2
_space_group_name_Hall '-P 1'
loop_
_atom_site_label
_atom_site_type_symbol
_atom_site_fract_x
_atom_site_fract_y
_atom_site_fract_z
La1 La 0.127 0.277 0.462
Br1 Br 0.176 0.908 0.753
Cl1 Cl 0.437 0.407 0.716
```

No. 7
Computed X-ray powder pattern
Compound: La2BrCl
Radiation: Cu Ka
Structure: a crystal structure in Alexandria, relaxed with PBE
Intensities are scaled so that the largest is 100.

Peak list (10 most intense, 10 to 90 degrees two-theta, in order of rising 2θ)
25.4°, I 42; 28.2°, I 35; 30.1°, I 100; 35.5°, I 52; 41.7°, I 48; 43.0°, I 39; 52.3°, I 25; 57.0°, I 26; 62.9°, I 22; 79.2°, I 23

Cell and atoms:
```
data_La2BrCl
_cell_length_a 4.204
_cell_length_b 4.204
_cell_length_c 6.318
_cell_angle_alpha 90.00
_cell_angle_beta 90.00
_cell_angle_gamma 90.00
_space_group_name_H-M_alt 'P 4 m m'
_space_group_IT_number 99
_space_group_name_Hall 'P 4 -2'
loop_
_atom_site_label
_atom_site_type_symbol
_atom_site_fract_x
_atom_site_fract_y
_atom_site_fract_z
La1 La 0.000 0.000 0.000
La2 La 0.500 0.500 0.390
Br1 Br 0.000 0.000 0.506
Cl1 Cl 0.500 0.500 0.898
```

No. 8
Computed X-ray powder pattern
Compound: La4Br3ClO4
Radiation: Cu Ka
Structure: a crystal structure in Alexandria, relaxed with PBE
Intensities are scaled so that the largest is 100.

Peak list (10 most intense, 10 to 90 degrees two-theta, in order of rising 2θ)
11.5°, I 17; 24.5°, I 19; 30.6°, I 53; 31.9°, I 100; 38.8°, I 12; 43.9°, I 27; 52.7°, I 10; 55.2°, I 41; 57.5°, I 14; 89.3°, I 11

Cell and atoms:
```
data_La4Br3ClO4
_cell_length_a 4.128
_cell_length_b 8.260
_cell_length_c 15.332
_cell_angle_alpha 90.00
_cell_angle_beta 90.00
_cell_angle_gamma 90.00
_space_group_name_H-M_alt 'A m m 2'
_space_group_IT_number 38
_space_group_name_Hall 'A 2 -2'
loop_
_atom_site_label
_atom_site_type_symbol
_atom_site_fract_x
_atom_site_fract_y
_atom_site_fract_z
La1 La 0.000 0.000 0.000
La2 La 0.000 0.000 0.497
La3 La 0.500 0.247 0.657
Br1 Br 0.000 0.000 0.257
Br2 Br 0.500 0.242 0.895
Cl1 Cl 0.000 0.000 0.744
O1 O 0.000 0.249 0.577
O2 O 0.500 0.000 0.079
O3 O 0.500 0.000 0.574
```

No. 9
Computed X-ray powder pattern
Compound: La4P2BrCl
Radiation: Cu Ka
Structure: a crystal structure in Alexandria, relaxed with PBE
Intensities are scaled so that the largest is 100.

Peak list (10 most intense, 10 to 90 degrees two-theta, in order of rising 2θ)
25.7°, I 71; 29.7°, I 100; 29.9°, I 49; 42.5°, I 37; 42.7°, I 73; 50.4°, I 24; 52.9°, I 38; 70.0°, I 16; 70.1°, I 16; 77.9°, I 24

Cell and atoms:
```
data_La4P2BrCl
_cell_length_a 8.495
_cell_length_b 11.958
_cell_length_c 8.507
_cell_angle_alpha 90.00
_cell_angle_beta 90.00
_cell_angle_gamma 90.00
_space_group_name_H-M_alt 'F m m 2'
_space_group_IT_number 42
_space_group_name_Hall 'F 2 -2'
loop_
_atom_site_label
_atom_site_type_symbol
_atom_site_fract_x
_atom_site_fract_y
_atom_site_fract_z
La1 La 0.000 0.245 0.000
La2 La 0.250 0.000 0.250
P1 P 0.250 0.250 0.250
Br1 Br 0.000 0.000 0.500
Cl1 Cl 0.000 0.000 0.000
```

No. 10
Computed X-ray powder pattern
Compound: LaTl2Br3Cl3
Radiation: Cu Ka
Structure: a crystal structure in Alexandria, relaxed with PBE
Intensities are scaled so that the largest is 100.

Peak list (10 most intense, 10 to 90 degrees two-theta, in order of rising 2θ)
21.1°, I 95; 24.3°, I 47; 29.9°, I 84; 32.4°, I 100; 37.1°, I 64; 39.0°, I 63; 42.6°, I 24; 48.1°, I 23; 57.7°, I 35; 59.5°, I 34

Cell and atoms:
```
data_LaTl2Br3Cl3
_cell_length_a 8.4015
_cell_length_b 8.4015
_cell_length_c 4.2415
_cell_angle_alpha 90.00
_cell_angle_beta 90.00
_cell_angle_gamma 120.00
_space_group_name_H-M_alt 'P -6 2 m'
_space_group_IT_number 189
_space_group_name_Hall 'P -6 -2'
loop_
_atom_site_label
_atom_site_type_symbol
_atom_site_fract_x
_atom_site_fract_y
_atom_site_fract_z
La1 La 0.0000 0.0000 0.0000
Tl1 Tl 0.3333 0.6667 0.5000
Br1 Br 0.0000 0.4002 0.0000
Cl1 Cl 0.0000 0.7658 0.5000
```

No. 11
Computed X-ray powder pattern
Compound: Li6BrNCl2
Radiation: Cu Ka
Structure: a crystal structure in Alexandria, relaxed with PBE
Intensities are scaled so that the largest is 100.

Peak list (10 most intense, 10 to 90 degrees two-theta, in order of rising 2θ)
17.4°, I 49; 17.7°, I 34; 28.1°, I 96; 28.6°, I 100; 29.2°, I 43; 29.5°, I 32; 34.3°, I 38; 42.0°, I 34; 49.5°, I 21; 51.3°, I 33

Cell and atoms:
```
data_Li6BrNCl2
_cell_length_a 10.919
_cell_length_b 6.125
_cell_length_c 6.048
_cell_angle_alpha 90.00
_cell_angle_beta 122.32
_cell_angle_gamma 90.00
_space_group_name_H-M_alt 'C 1 2/m 1'
_space_group_IT_number 12
_space_group_name_Hall '-C 2y'
loop_
_atom_site_label
_atom_site_type_symbol
_atom_site_fract_x
_atom_site_fract_y
_atom_site_fract_z
Li1 Li 0.083 0.219 0.384
Li2 Li 0.181 0.000 0.840
Br1 Br 0.000 0.500 0.000
N1 N 0.000 0.000 0.500
Cl1 Cl 0.249 0.500 0.712
```

No. 12
Computed X-ray powder pattern
Compound: Li2Pu2Br2Cl5
Radiation: Cu Ka
Structure: a crystal structure in Alexandria, relaxed with PBE
Intensities are scaled so that the largest is 100.

Peak list (10 most intense, 10 to 90 degrees two-theta, in order of rising 2θ)
16.0°, I 36; 16.3°, I 100; 19.9°, I 36; 22.5°, I 52; 25.7°, I 25; 32.0°, I 52; 32.4°, I 24; 36.1°, I 29; 39.8°, I 26; 46.1°, I 35

Cell and atoms:
```
data_Li2Pu2Br2Cl5
_cell_length_a 5.596
_cell_length_b 5.596
_cell_length_c 22.129
_cell_angle_alpha 90.00
_cell_angle_beta 90.00
_cell_angle_gamma 90.00
_space_group_name_H-M_alt 'I 4/m m m'
_space_group_IT_number 139
_space_group_name_Hall '-I 4 2'
loop_
_atom_site_label
_atom_site_type_symbol
_atom_site_fract_x
_atom_site_fract_y
_atom_site_fract_z
Li1 Li 0.000 0.000 0.139
Pu1 Pu 0.000 0.000 0.376
Br1 Br 0.000 0.000 0.248
Cl1 Cl 0.000 0.000 0.500
Cl2 Cl 0.000 0.500 0.115
```

No. 13
Computed X-ray powder pattern
Compound: LiUBrCl4
Radiation: Cu Ka
Structure: a crystal structure in Alexandria, relaxed with PBE
Intensities are scaled so that the largest is 100.

Peak list (10 most intense, 10 to 90 degrees two-theta, in order of rising 2θ)
13.2°, I 33; 13.4°, I 100; 15.2°, I 22; 18.3°, I 17; 19.9°, I 34; 26.4°, I 22; 28.3°, I 23; 31.4°, I 22; 32.1°, I 19; 40.4°, I 23

Cell and atoms:
```
data_LiUBrCl4
_cell_length_a 11.631
_cell_length_b 8.931
_cell_length_c 11.151
_cell_angle_alpha 90.00
_cell_angle_beta 119.70
_cell_angle_gamma 90.00
_space_group_name_H-M_alt 'C 1 2/m 1'
_space_group_IT_number 12
_space_group_name_Hall '-C 2y'
loop_
_atom_site_label
_atom_site_type_symbol
_atom_site_fract_x
_atom_site_fract_y
_atom_site_fract_z
Li1 Li 0.133 0.000 0.320
U1 U 0.166 0.500 0.209
Br1 Br 0.118 0.500 0.930
Cl1 Cl 0.082 0.000 0.697
Cl2 Cl 0.159 0.209 0.199
Cl3 Cl 0.181 0.500 0.449
```

No. 14
Computed X-ray powder pattern
Compound: MgBrCl
Radiation: Cu Ka
Structure: a crystal structure in Alexandria, relaxed with PBE
Intensities are scaled so that the largest is 100.

Peak list (10 most intense, 10 to 90 degrees two-theta, in order of rising 2θ)
12.7°, I 100; 13.6°, I 35; 25.5°, I 38; 29.9°, I 33; 30.0°, I 96; 30.4°, I 59; 30.6°, I 53; 37.4°, I 69; 48.2°, I 63; 48.3°, I 39

Cell and atoms:
```
data_MgBrCl
_cell_length_a 6.531
_cell_length_b 3.778
_cell_length_c 6.981
_cell_angle_alpha 90.00
_cell_angle_beta 91.66
_cell_angle_gamma 90.00
_space_group_name_H-M_alt 'P 1 21/m 1'
_space_group_IT_number 11
_space_group_name_Hall '-P 2yb'
loop_
_atom_site_label
_atom_site_type_symbol
_atom_site_fract_x
_atom_site_fract_y
_atom_site_fract_z
Mg1 Mg 0.244 0.250 0.000
Br1 Br 0.411 0.750 0.779
Cl1 Cl 0.090 0.750 0.192
```